This entry pairs a crystal structure of CoP3 with its computed powder XRD pattern. Radiation: a wavelength of 1.5418 Å. Structure: a crystal structure in the Materials Project, relaxed with PBE.
Peak positions follow from Bragg's law for the DFT cell and can differ from measured ones.

```
16
Lattice="-3.8605 3.8605 3.8605 3.8605 -3.8605 3.8605 3.8605 3.8605 -3.8605" Properties=species:S:1:pos:R:3 pbc="T T T"
Co 1.9302 1.9302 -1.9302
Co 1.9302 -1.9302 1.9302
Co -1.9302 1.9302 1.9302
Co 1.9302 1.9302 1.9302
P 2.6872 1.1282 0.0000
P 5.0338 1.1282 0.0000
P 3.8605 -1.1733 2.7323
P 2.7323 3.8605 -1.1733
P 1.1282 0.0000 2.6872
P 0.0000 2.6872 1.1282
P 3.8605 1.1733 2.7323
P 2.7323 3.8605 1.1733
P 1.1282 0.0000 5.0338
P 0.0000 5.0338 1.1282
P -1.1733 2.7323 3.8605
P 1.1733 2.7323 3.8605
```

Most intense lines, 10 to 80 degrees two-theta, low angle first:
2θ/deg  I (rel.)
16.24  18
23.04  82
32.81  59
36.81  95
40.47  29
43.87  23
53.04  100
58.57  59
61.21  32
78.32  18